No. 1
Calculated X-ray diffraction stick pattern of MnH2F2 for λ = 1.5418 Å (Cu Kα), from a GGA+U-relaxed structure.
Intensities are scaled so that the largest is 100.

Structural model:
```
5
Lattice="3.3644 0.0000 0.0000 1.6814 2.9170 0.0000 0.0832 1.0832 7.1542" Properties=species:S:1:pos:R:3 pbc="T T T"
Mn 0.0000 0.0000 0.0000
H 1.7383 3.1391 3.7739
H 3.3907 0.8611 3.3803
F 1.7651 2.0544 6.1959
F 3.3639 1.9458 0.9583
```

The 12 most intense peaks (2θ = 10–90°), in order of falling intensity:
- (0 0 1), 2θ 12.4, rel. 100
- (0 0 2), 2θ 24.9, rel. 9
- (0 1 2), 2θ 37.0, rel. 8
- (1 1 0), 2θ 30.8, rel. 7
- (1 0 2), 2θ 41.3, rel. 7
- (1 1 -1), 2θ 34.3, rel. 7
- (1 0 1), 2θ 34.0, rel. 7
- (1 1 -2), 2θ 41.7, rel. 7
- (1 2 1), 2θ 54.8, rel. 5
- (0 1 1), 2θ 31.7, rel. 5
- (0 1 3), 2θ 45.6, rel. 5
- (0 1 4), 2θ 56.3, rel. 3


No. 2
Calculated X-ray diffraction stick pattern of MnH8N2F6 for λ = 1.5418 Å (Cu Kα), from a GGA+U-relaxed structure.
Intensities are scaled so that the largest is 100.

Structural model:
```
34
Lattice="5.9753 0.0000 0.0000 -2.9877 5.1748 0.0000 0.0000 0.0000 9.5283" Properties=species:S:1:pos:R:3 pbc="T T T"
Mn 0.0000 3.4499 0.0000
Mn 2.9877 1.7249 4.7642
H 0.0000 0.0000 4.3633
H 0.0000 0.0000 9.1275
H 0.0000 0.9726 2.9932
H -2.1454 4.6885 2.9932
H -0.8391 2.9654 6.3019
H 0.8423 0.4863 7.7574
H 0.0000 3.4499 4.9267
H 0.8391 2.9654 6.3019
H 0.0000 4.4188 6.3019
H 2.9877 0.7560 1.5377
H 2.1485 2.2094 1.5377
H 2.9877 1.7249 0.1625
H 2.1454 4.6885 2.9932
H 3.8268 2.2094 1.5377
H 5.1331 0.4863 7.7574
H 2.9877 4.2022 7.7574
N 0.0000 0.0000 3.3344
N 0.0000 0.0000 8.0986
N 0.0000 3.4499 5.9548
N 2.9877 1.7249 1.1907
F -1.3085 2.6944 8.4610
F 0.0000 1.9271 1.0622
F -1.3187 4.2112 1.0622
F 1.6690 0.9636 5.8264
F 1.3085 2.6944 8.4610
F 0.0000 4.9607 8.4610
F 2.9877 0.2141 3.6969
F 1.6792 2.4804 3.6969
F 1.3187 4.2112 1.0622
F 4.3064 0.9636 5.8264
F 2.9877 3.2476 5.8264
F 4.2961 2.4804 3.6969
```

The 12 most intense peaks (2θ = 10–90°), in order of falling intensity:
- (1 0 1), 2θ 19.5, rel. 100
- (2 0 2), 2θ 39.6, rel. 42
- (1 0 0), 2θ 17.1, rel. 24
- (0 0 2), 2θ 18.6, rel. 23
- (2 0 3), 2θ 45.2, rel. 22
- (1 0 2), 2θ 25.4, rel. 19
- (1 1 0), 2θ 29.9, rel. 13
- (1 1 2), 2θ 35.5, rel. 13
- (2 2 0), 2θ 62.1, rel. 12
- (1 0 3), 2θ 33.1, rel. 12
- (2 1 3), 2θ 55.1, rel. 11
- (2 0 5), 2θ 60.3, rel. 10


No. 3
Calculated X-ray diffraction stick pattern of Rb2MnP2H3O8F2 for λ = 1.5418 Å (Cu Kα), from a GGA+U-relaxed structure.
Intensities are scaled so that the largest is 100.

Structural model:
```
36
Lattice="7.5907 0.0000 0.0000 0.0000 8.1267 0.0000 -3.6990 0.0000 7.8834" Properties=species:S:1:pos:R:3 pbc="T T T"
Rb -0.6118 0.0000 3.5542
Rb -2.4326 6.5809 7.4795
Rb 6.3244 2.5176 0.4039
Rb 4.5035 4.0634 4.3291
Mn 2.8743 1.2444 1.9574
Mn 1.0175 5.3077 5.9260
P -0.8516 2.4001 6.8390
P 1.0271 4.1340 2.9294
P 2.8646 0.0706 4.9540
P 4.7434 6.4635 1.0443
H -0.8234 5.2873 1.9868
H 0.0433 3.0423 4.5356
H 1.9049 3.5281 0.5611
H 3.8484 7.1057 3.3477
H 1.9869 7.5915 7.3222
H 4.7152 1.2240 5.8965
O -1.6065 1.4665 5.8761
O 0.2836 5.0798 1.9355
O -1.9246 3.4300 7.4328
O -0.0651 3.1298 3.5043
O 0.2312 3.1569 6.0446
O 2.1056 3.4001 2.1263
O 3.5107 1.6740 0.1525
O 1.6660 4.8879 4.1139
O 2.2257 0.8245 3.7694
O 0.3810 5.7373 7.7309
O 1.7861 7.4634 5.7571
O 3.6606 7.2203 1.8388
O 3.9568 7.1932 4.3790
O 5.8164 7.4934 0.4506
O 3.6081 1.0165 5.9478
O 5.4982 5.5299 2.0073
F 1.1835 0.7433 1.2970
F -0.6675 5.8169 5.2518
F 4.5592 1.7535 2.6315
F 2.7082 4.8066 6.5863
```

The 12 most intense peaks (2θ = 10–90°), in order of falling intensity:
- (0 2 1), 2θ 24.6, rel. 100
- (2 1 -1), 2θ 25.9, rel. 74
- (2 1 0), 2θ 28.2, rel. 70
- (1 1 -2), 2θ 23.4, rel. 66
- (1 1 -3), 2θ 32.8, rel. 65
- (1 3 -1), 2θ 35.7, rel. 65
- (1 2 1), 2θ 30.1, rel. 47
- (1 0 2), 2θ 30.6, rel. 46
- (2 3 1), 2θ 47.1, rel. 32
- (2 1 -2), 2θ 28.4, rel. 28
- (3 2 -3), 2θ 45.8, rel. 26
- (0 1 1), 2θ 15.7, rel. 23